This entry pairs a crystal structure of BeCoF with its computed XRD peak list. Radiation: λ = 1.5418 Å (Cu Kα). Structure: the PBE+U geometry in Alexandria.
Neutral-atom scattering factors, no anomalous dispersion.

Atomic structure:
```
BeCoF
1.0
2.4591 0.0000 0.0000
0.0000 7.8316 0.0000
-2.4593 0.0000 3.9806
Be Co F
2 2 2
Cartesian
0.0000 1.8898 0.0000
-1.2296 5.9418 1.9903
-0.0091 0.1358 1.9828
-1.2388 7.6958 3.9732
-1.2278 2.8376 3.9796
0.0019 4.9940 1.9892
```

The 10 most intense peaks (2θ = 10–90°), by intensity:
- hkl 0 1 0, 11.30 deg, I = 100.0
- hkl 0 2 0, 22.71 deg, I = 21.4
- hkl 1 0 0, 43.25 deg, I = 16.4
- hkl 0 3 0, 34.35 deg, I = 15.9
- hkl 1 2 0, 49.39 deg, I = 15.5
- hkl 1 3 0, 56.36 deg, I = 14.0
- hkl 1 1 0, 44.84 deg, I = 12.6
- hkl 0 0 2, 45.58 deg, I = 9.3
- hkl 0 2 1, 32.06 deg, I = 7.3
- hkl 0 3 2, 58.30 deg, I = 5.9